# 1
Calculated X-ray diffraction stick pattern of TbHoPt2 for Cu Kα X-rays, from a DFT-relaxed cell (PBE, OQMD).

Structure:
Cell: 4.5035 5.5678 7.0280 Å, 90.00 90.00 90.00°
Space group Pmc2_1 (No. 26)
One atom of each set of equivalent atoms:
Tb (0.0000, 0.1100, 0.0000)
Ho (0.5000, 0.3904, 0.3639)
Pt (0.0000, 0.4058, 0.6369)
Pt (0.5000, 0.0955, 0.7263)

Peak list (10 most intense, 5° ≤ 2θ ≤ 70°, in order of rising 2θ)
2θ (°)  Rel. int.  h k l
20.35  17  0 1 1
32.31  73  1 0 2
34.66  45  0 2 1
36.22  100  1 1 2
40.04  51  2 0 0
40.19  91  1 2 1
41.83  21  0 1 3
53.98  26  2 2 1
54.79  23  0 1 4
69.99  23  2 1 4

# 2
Calculated X-ray diffraction stick pattern of HoZn4Pt2 for Cu Kα X-rays, from a DFT-relaxed cell (PBE, OQMD).

Structure:
Cell: 7.4737 7.4737 4.2817 Å, 90.00 90.00 90.00°
Space group P4_2/mnm (No. 136)
One atom of each set of equivalent atoms:
Ho (0.0000, 0.0000, 0.0000)
Zn (0.1010, 0.3544, 0.5000)
Pt (0.2123, 0.7877, 0.5000)

Peak list (10 most intense, 5° ≤ 2θ ≤ 70°, in order of rising 2θ)
2θ (°)  Rel. int.  h k l
26.80  52  1 1 1
33.93  55  2 2 0
34.03  99  2 1 1
40.10  42  2 2 1
41.96  34  3 0 1
42.21  53  0 0 2
43.75  100  3 1 1
50.34  31  4 1 0
55.22  28  2 2 2
67.73  25  4 1 2